Theoretical X-ray diffraction stick pattern of Rb2PuZnF6 for Cu Kα, from a crystal structure in Alexandria, relaxed with PBE.

Peak list (10 most intense, 2θ = 10–80°, by angle)
2θ/deg	I/Imax	(hkl)
16.89	25.6	1 1 0
19.53	17.7	1 0 1
27.76	100.0	2 0 0
32.67	18.3	0 3 1
39.66	35.5	2 0 2
43.39	9.6	2 3 1
49.10	42.6	3 2 1
57.34	22.8	4 0 0
64.88	19.1	4 0 2
78.79	22.3	5 2 1

Atomic structure:
```
Rb2PuZnF6
1.0
6.428 0.000 0.000
0.000 9.087 0.000
0.000 0.000 6.428
Rb Pu Zn F
4 2 2 12
Cartesian
1.607 0.002 1.604
1.607 4.542 1.604
4.821 9.085 4.825
4.821 4.545 4.825
1.607 2.272 4.819
4.821 6.815 1.609
1.607 6.815 4.822
4.821 2.272 1.607
0.060 6.815 3.273
0.059 6.815 6.371
1.607 4.627 4.823
1.607 9.003 4.823
3.154 6.815 3.273
3.156 6.815 6.371
3.273 2.272 0.057
3.274 2.272 3.156
4.821 0.084 1.605
4.821 4.460 1.605
6.370 2.272 0.057
6.369 2.272 3.156
```